Structure and calculated PXRD pattern of Li3V4NiO12 (a DFT-relaxed cell (GGA+U, Alexandria); λ = 1.5418 Å (Cu Kα)).
No peak broadening, texture or thermal motion is included.

Top 10 peaks for 2θ from 10° to 90°, low angle first:
| hkl | two_theta | d (Å) | intensity |
| --- | --- | --- | --- |
| 0 0 1 | 11.92 | 7.422 | 29 |
| 1 0 1 | 21.42 | 4.149 | 32 |
| 0 0 2 | 23.98 | 3.711 | 58 |
| 1 -1 0 | 24.33 | 3.658 | 58 |
| 1 1 0 | 24.46 | 3.639 | 58 |
| 1 1 -2 | 33.31 | 2.690 | 100 |
| 0 2 0 | 33.64 | 2.664 | 44 |
| -1 1 2 | 35.51 | 2.528 | 28 |
| 1 -1 4 | 53.97 | 1.699 | 29 |
| 2 2 -2 | 54.70 | 1.678 | 30 |

Structure:
Unit cell a=5.007 b=5.352 c=7.455 alpha=95.41 beta=90.19 gamma=90.28
Space group P1 (No. 1)
One atom of each set of equivalent atoms:
Li 0.000 0.000 0.000 x1
Li 0.011 0.004 0.504 x1
Li 0.504 0.505 0.513 x1
V 0.011 0.447 0.284 x1
V 0.508 0.954 0.288 x1
V 0.509 0.934 0.773 x1
V 0.995 0.426 0.776 x1
Ni 0.510 0.525 0.993 x1
O 0.138 0.395 0.064 x1
O 0.199 0.705 0.370 x1
O 0.204 0.090 0.748 x1
O 0.317 0.209 0.370 x1
O 0.329 0.601 0.758 x1
O 0.381 0.894 0.069 x1
O 0.627 0.897 0.553 x1
O 0.694 0.210 0.873 x1
O 0.698 0.582 0.244 x1
O 0.804 0.715 0.873 x1
O 0.818 0.088 0.251 x1
O 0.891 0.395 0.552 x1

***

Structure and calculated PXRD pattern of Li7V6Ni5O24 (a DFT-relaxed cell (GGA+U, Alexandria); λ = 1.5418 Å (Cu Kα)).
No peak broadening, texture or thermal motion is included.

Top 10 peaks for 2θ from 10° to 90°, low angle first:
| hkl | two_theta | d (Å) | intensity |
| --- | --- | --- | --- |
| 0 1 -1 | 18.36 | 4.833 | 44 |
| 2 0 1 | 30.59 | 2.923 | 100 |
| 1 2 0 | 35.57 | 2.524 | 31 |
| 1 2 3 | 35.77 | 2.510 | 77 |
| 1 0 -4 | 35.89 | 2.502 | 66 |
| 1 0 5 | 36.01 | 2.494 | 52 |
| 2 -2 0 | 43.68 | 2.072 | 23 |
| 3 2 4 | 57.77 | 1.596 | 25 |
| 0 4 2 | 62.96 | 1.476 | 37 |
| 2 2 8 | 63.67 | 1.461 | 52 |

Structure:
Unit cell a=5.847 b=5.906 c=13.064 alpha=77.47 beta=77.26 gamma=89.77
Space group P-1 (No. 2)
One atom of each set of equivalent atoms:
Li 0.000 0.000 0.000 x1
Li 0.158 0.164 0.169 x2
Li 0.168 0.672 0.669 x2
Li 0.333 0.328 0.332 x2
V 0.041 0.789 0.417 x2
V 0.294 0.540 0.917 x2
V 0.378 0.129 0.749 x2
Ni 0.161 0.664 0.168 x2
Ni 0.500 0.000 0.000 x1
Ni 0.500 0.000 0.500 x1
Ni 0.500 0.500 0.500 x1
O 0.079 0.062 0.341 x2
O 0.083 0.592 0.334 x2
O 0.087 0.577 0.837 x2
O 0.094 0.092 0.829 x2
O 0.254 0.251 0.501 x2
O 0.254 0.748 0.001 x2
O 0.255 0.749 0.499 x2
O 0.259 0.259 0.996 x2
O 0.416 0.912 0.166 x2
O 0.419 0.406 0.666 x2
O 0.419 0.928 0.666 x2
O 0.423 0.423 0.164 x2

***

Structure and calculated PXRD pattern of Li4V5Ni3O16 (a DFT-relaxed cell (GGA+U, Alexandria); λ = 1.5418 Å (Cu Kα)).
No peak broadening, texture or thermal motion is included.

Top 10 peaks for 2θ from 10° to 90°, low angle first:
| hkl | two_theta | d (Å) | intensity |
| --- | --- | --- | --- |
| 0 0 2 | 18.55 | 4.782 | 100 |
| 0 1 1 | 19.51 | 4.550 | 26 |
| 1 0 1 | 19.71 | 4.503 | 95 |
| 1 1 -1 | 19.91 | 4.460 | 23 |
| 1 1 3 | 33.03 | 2.712 | 24 |
| 2 1 2 | 35.81 | 2.508 | 25 |
| 0 2 1 | 36.07 | 2.490 | 36 |
| 2 0 1 | 36.39 | 2.469 | 47 |
| 2 0 2 | 40.02 | 2.253 | 28 |
| 2 0 -3 | 45.43 | 1.997 | 29 |

Structure:
Unit cell a=5.865 b=5.890 c=9.566 alpha=89.13 beta=89.70 gamma=60.63
Space group P1 (No. 1)
One atom of each set of equivalent atoms:
Li 0.000 0.000 0.000 x1
Li 0.007 0.996 0.494 x1
Li 0.344 0.311 0.904 x1
Li 0.648 0.649 0.405 x1
V 0.171 0.181 0.244 x1
V 0.353 0.346 0.505 x1
V 0.362 0.813 0.726 x1
V 0.660 0.663 0.005 x1
V 0.857 0.338 0.721 x1
Ni 0.167 0.647 0.211 x1
Ni 0.653 0.160 0.210 x1
Ni 0.838 0.828 0.716 x1
O 0.007 0.999 0.298 x1
O 0.017 0.460 0.348 x1
O 0.029 0.990 0.810 x1
O 0.180 0.172 0.603 x1
O 0.182 0.665 0.598 x1
O 0.306 0.303 0.109 x1
O 0.354 0.807 0.092 x1
O 0.459 0.016 0.346 x1
O 0.469 0.457 0.354 x1
O 0.527 0.508 0.847 x1
O 0.528 0.938 0.853 x1
O 0.655 0.664 0.608 x1
O 0.678 0.185 0.606 x1
O 0.824 0.343 0.092 x1
O 0.825 0.815 0.087 x1
O 0.971 0.492 0.843 x1